Computed powder diffractogram
Compound: Tl5SnHg5
Radiation: Cu Kα X-rays
Structure: a crystal structure in Alexandria, relaxed with GGA-PBE
Lines closer than 0.1° are merged.

a = 14.6659 Å, b = 6.0679 Å, c = 7.8998 Å
α = 90.00°, β = 105.84°, γ = 90.00°
Space group C2/m (No. 12)
Asymmetric unit:
Tl 0.0000 0.0000 0.0000 (multiplicity 2)
Tl 0.1078 0.5000 0.2089 (multiplicity 4)
Tl 0.1773 0.5000 0.8263 (multiplicity 4)
Sn 0.0000 0.0000 0.5000 (multiplicity 2)
Hg 0.0000 0.5000 0.5000 (multiplicity 2)
Hg 0.1680 0.0000 0.8153 (multiplicity 4)
Hg 0.1870 0.0000 0.4052 (multiplicity 4)

Largest 10 diffraction maxima, low angle first, 10 to 80 degrees two-theta:
- (3 1 1), 2θ 28.9, 3.087 Å, I = 31
- (0 2 0), 2θ 29.5, 3.032 Å, I = 100
- (2 0 2), 2θ 29.6, 3.019 Å, I = 17
- (1 1 2), 2θ 29.8, 2.994 Å, I = 17
- (1 1 -3), 2θ 37.4, 2.406 Å, I = 16
- (6 0 0), 2θ 38.3, 2.352 Å, I = 10
- (4 2 -2), 2θ 42.2, 2.143 Å, I = 50
- (6 2 0), 2θ 49.0, 1.859 Å, I = 10
- (0 4 0), 2θ 61.1, 1.516 Å, I = 12
- (4 4 -2), 2θ 69.3, 1.356 Å, I = 19

Computed powder diffractogram
Compound: Ca2ZnHg5
Radiation: Cu Kα X-rays
Structure: a crystal structure in Alexandria, relaxed with GGA-PBE
Lines closer than 0.1° are merged.

a = 4.4697 Å, b = 18.1025 Å, c = 10.2170 Å
α = 90.00°, β = 90.00°, γ = 90.00°
Space group Cmcm (No. 63)
Asymmetric unit:
Ca 0.0000 0.0000 0.0000 (multiplicity 4)
Ca 0.0000 0.1919 0.2500 (multiplicity 4)
Zn 0.0000 0.4539 0.7500 (multiplicity 4)
Hg 0.0000 0.2011 0.6032 (multiplicity 8)
Hg 0.0000 0.3699 0.5391 (multiplicity 8)
Hg 0.0000 0.4020 0.2500 (multiplicity 4)

Largest 10 diffraction maxima, low angle first, 10 to 80 degrees two-theta:
- (0 2 1), 2θ 13.1, 6.775 Å, I = 24
- (0 4 0), 2θ 19.6, 4.526 Å, I = 22
- (1 1 0), 2θ 20.5, 4.339 Å, I = 37
- (1 5 0), 2θ 31.8, 2.813 Å, I = 100
- (1 1 3), 2θ 33.4, 2.679 Å, I = 100
- (0 6 3), 2θ 39.9, 2.258 Å, I = 46
- (2 0 0), 2θ 40.3, 2.236 Å, I = 62
- (1 1 4), 2θ 41.0, 2.201 Å, I = 23
- (1 3 4), 2θ 43.5, 2.082 Å, I = 22
- (2 6 3), 2θ 58.1, 1.589 Å, I = 31

Computed powder diffractogram
Compound: Ac4Ge2SeCl
Radiation: Cu Kα X-rays
Structure: a crystal structure in Alexandria, relaxed with GGA-PBE
Lines closer than 0.1° are merged.

a = 6.3954 Å, b = 6.3954 Å, c = 12.7044 Å
α = 90.00°, β = 90.00°, γ = 90.00°
Space group I4/mmm (No. 139)
Asymmetric unit:
Ac 0.0000 0.0000 0.2466 (multiplicity 4)
Ac 0.0000 0.5000 0.0000 (multiplicity 4)
Ge 0.0000 0.5000 0.2500 (multiplicity 4)
Se 0.0000 0.0000 0.0000 (multiplicity 2)
Cl 0.0000 0.0000 0.5000 (multiplicity 2)

Largest 10 diffraction maxima, low angle first, 10 to 80 degrees two-theta:
- (1 1 2), 2θ 24.2, 3.684 Å, I = 79
- (2 0 0), 2θ 27.9, 3.198 Å, I = 100
- (0 0 4), 2θ 28.1, 3.176 Å, I = 49
- (2 2 0), 2θ 39.9, 2.261 Å, I = 39
- (2 0 4), 2θ 40.0, 2.253 Å, I = 77
- (3 1 2), 2θ 47.2, 1.927 Å, I = 29
- (2 2 4), 2θ 49.5, 1.842 Å, I = 42
- (4 2 0), 2θ 65.2, 1.430 Å, I = 19
- (4 0 4), 2θ 65.3, 1.428 Å, I = 18
- (4 2 4), 2θ 72.5, 1.304 Å, I = 27

Computed powder diffractogram
Compound: Li3Tl3Hg
Radiation: Cu Kα X-rays
Structure: a crystal structure in Alexandria, relaxed with GGA-PBE
Lines closer than 0.1° are merged.

a = 9.5907 Å, b = 9.7377 Å, c = 6.6651 Å
α = 90.00°, β = 90.00°, γ = 90.00°
Space group Cmmm (No. 65)
Asymmetric unit:
Li 0.0000 0.0000 0.2351 (multiplicity 4)
Li 0.2500 0.2500 0.2397 (multiplicity 8)
Tl 0.0000 0.2766 0.5000 (multiplicity 4)
Tl 0.2051 0.5000 0.0000 (multiplicity 4)
Tl 0.2479 0.0000 0.5000 (multiplicity 4)
Hg 0.0000 0.2410 0.0000 (multiplicity 4)

Largest 10 diffraction maxima, low angle first, 10 to 80 degrees two-theta:
- (2 2 0), 2θ 26.1, 3.416 Å, I = 100
- (0 0 2), 2θ 26.8, 3.333 Å, I = 53
- (0 4 0), 2θ 36.9, 2.434 Å, I = 22
- (4 0 0), 2θ 37.5, 2.398 Å, I = 18
- (2 2 2), 2θ 37.7, 2.386 Å, I = 84
- (0 4 2), 2θ 46.2, 1.966 Å, I = 22
- (4 0 2), 2θ 46.7, 1.946 Å, I = 18
- (4 4 2), 2θ 61.0, 1.520 Å, I = 19
- (2 2 4), 2θ 62.0, 1.498 Å, I = 19
- (2 6 2), 2θ 67.0, 1.396 Å, I = 12

Computed powder diffractogram
Compound: Re12Mo17
Radiation: Cu Kα X-rays
Structure: a crystal structure in Alexandria, relaxed with GGA-PBE
Lines closer than 0.1° are merged.

a = 9.7215 Å, b = 9.7215 Å, c = 9.7215 Å
α = 90.00°, β = 90.00°, γ = 90.00°
Space group I-43m (No. 217)
Asymmetric unit:
Re 0.0923 0.0923 0.2839 (multiplicity 24)
Mo 0.0000 0.0000 0.0000 (multiplicity 2)
Mo 0.0453 0.3597 0.3597 (multiplicity 24)
Mo 0.1776 0.1776 0.8224 (multiplicity 8)

Largest 10 diffraction maxima, low angle first, 10 to 80 degrees two-theta:
- (2 1 1), 2θ 22.4, 3.969 Å, I = 23
- (4 0 0), 2θ 37.0, 2.430 Å, I = 10
- (4 1 1), 2θ 39.3, 2.291 Å, I = 100
- (3 3 2), 2θ 43.7, 2.073 Å, I = 54
- (4 2 2), 2θ 45.7, 1.984 Å, I = 11
- (4 3 1), 2θ 47.7, 1.907 Å, I = 34
- (5 5 0), 2θ 68.2, 1.375 Å, I = 18
- (7 2 1), 2θ 71.3, 1.323 Å, I = 25
- (6 4 2), 2θ 72.8, 1.299 Å, I = 9
- (6 5 1), 2θ 77.3, 1.235 Å, I = 9

- Number 1 is which compound?
  Tl5SnHg5